For Ge2Sb2Au5, a DFT-relaxed cell (GGA-PBE, Alexandria) gives the theoretical PXRD pattern in this record (Cu Kα, 1.54184 Å).

Structure:
a b c (Å): 12.650 4.308 8.920
angles (deg): 90.00 120.72 90.00
Space group C2/m (No. 12)
Unique sites:
Ge  0.144  0.000  0.021 [4 per cell]
Sb  0.153  0.500  0.540 [4 per cell]
Au  0.000  0.000  0.500 [2 per cell]
Au  0.088  0.000  0.262 [4 per cell]
Au  0.110  0.500  0.835 [4 per cell]

The 8 most intense peaks (5° ≤ 2θ ≤ 70°), by angle:
- (2 0 0), 16.3°, 5.437 Å, I = 31.3
- (1 1 -1), 23.0°, 3.860 Å, I = 31.8
- (1 1 1), 27.0°, 3.304 Å, I = 75.1
- (3 1 -3), 37.4°, 2.406 Å, I = 78.7
- (3 1 1), 38.6°, 2.333 Å, I = 100.0
- (0 2 0), 41.9°, 2.154 Å, I = 55.0
- (6 0 -2), 42.9°, 2.106 Å, I = 37.4
- (5 1 -3), 43.8°, 2.065 Å, I = 54.3

---

For Sr2GeSbAu6, a DFT-relaxed cell (GGA-PBE, Alexandria) gives the theoretical PXRD pattern in this record (Cu Kα, 1.54184 Å).

Structure:
a b c (Å): 7.306 9.105 7.603
angles (deg): 90.00 90.00 90.00
Space group Pmmn (No. 59, origin choice 2)
Unique sites:
Sr  0.250  0.011  0.249 [4 per cell]
Ge  0.250  0.250  0.574 [2 per cell]
Sb  0.250  0.750  0.918 [2 per cell]
Au  0.058  0.250  0.896 [4 per cell]
Au  0.065  0.750  0.542 [4 per cell]
Au  0.250  0.001  0.729 [4 per cell]

The 8 most intense peaks (5° ≤ 2θ ≤ 70°), by angle:
- (1 0 1), 16.8°, 5.268 Å, I = 62.8
- (0 2 2), 30.6°, 2.918 Å, I = 100.0
- (2 2 0), 31.4°, 2.849 Å, I = 67.0
- (2 0 2), 34.0°, 2.634 Å, I = 36.8
- (2 1 2), 35.5°, 2.531 Å, I = 40.1
- (0 4 0), 39.6°, 2.277 Å, I = 59.8
- (3 1 1), 40.1°, 2.248 Å, I = 52.4
- (3 3 1), 49.5°, 1.843 Å, I = 29.3

---

For TbScGeAu, a DFT-relaxed cell (GGA-PBE, Alexandria) gives the theoretical PXRD pattern in this record (Cu Kα, 1.54184 Å).

Structure:
a b c (Å): 7.010 7.010 7.010
angles (deg): 90.00 90.00 90.00
Space group F-43m (No. 216)
Unique sites:
Tb  0.000  0.000  0.000 [4 per cell]
Sc  0.000  0.000  0.500 [4 per cell]
Ge  0.250  0.250  0.250 [4 per cell]
Au  0.250  0.250  0.750 [4 per cell]

The 8 most intense peaks (5° ≤ 2θ ≤ 70°), by angle:
- (1 1 1), 22.0°, 4.047 Å, I = 28.0
- (2 0 0), 25.4°, 3.505 Å, I = 2.6
- (2 2 0), 36.2°, 2.478 Å, I = 100.0
- (3 1 1), 42.8°, 2.114 Å, I = 15.8
- (4 0 0), 52.2°, 1.753 Å, I = 17.5
- (3 3 1), 57.3°, 1.608 Å, I = 6.9
- (4 2 2), 65.2°, 1.431 Å, I = 35.7
- (5 1 1), 69.7°, 1.349 Å, I = 5.2

---

For SiGeAu3, a DFT-relaxed cell (GGA-PBE, Alexandria) gives the theoretical PXRD pattern in this record (Cu Kα, 1.54184 Å).

Structure:
a b c (Å): 5.579 5.924 12.307
angles (deg): 90.00 107.54 90.00
Space group P2_1/c (No. 14)
Unique sites:
Si  0.177  0.117  0.041 [4 per cell]
Ge  0.383  0.527  0.776 [4 per cell]
Au  0.018  0.743  0.305 [4 per cell]
Au  0.261  0.523  0.028 [4 per cell]
Au  0.410  0.099  0.886 [4 per cell]

The 8 most intense peaks (5° ≤ 2θ ≤ 70°), by angle:
- (1 1 -2), 24.1°, 3.687 Å, I = 61.1
- (0 1 3), 27.3°, 3.264 Å, I = 51.2
- (1 0 -4), 30.0°, 2.981 Å, I = 100.0
- (0 2 2), 33.9°, 2.644 Å, I = 48.1
- (1 2 0), 34.7°, 2.588 Å, I = 59.6
- (2 1 -1), 35.7°, 2.516 Å, I = 76.3
- (2 1 -3), 37.9°, 2.375 Å, I = 51.5
- (2 0 2), 41.3°, 2.188 Å, I = 86.6

---

Which formula does entry 2 have?
Sr2GeSbAu6

---

Number 1 is which compound?
Ge2Sb2Au5